This entry pairs a crystal structure of NdTl2S3 with its theoretical powder XRD pattern. Radiation: Cu Kα, 1.54184 Å. Structure: a structure optimized by DFT (PBE).
Kinematic intensities with the Lorentz-polarization factor, no thermal factor.

Top 10 peaks for 10° ≤ 2θ ≤ 90°, low angle first:
2θ/deg	I/Imax	hkl
15.78	100.0	0 2 0
23.77	78.0	3 1 0
24.93	20.8	1 3 0
32.83	62.3	3 3 0
34.43	20.8	2 0 2
39.33	25.3	3 1 2
44.96	26.1	0 4 2
45.72	37.6	6 0 0
56.81	20.5	3 5 2
58.73	18.5	0 6 2

Cell and atoms:
```
data_NdTl2S3
_symmetry_space_group_name_H-M 'C m c m'
_symmetry_Int_Tables_number 63
_symmetry_space_group_name_Hall '-C 2c 2'
_cell_length_a 11.911
_cell_length_b 11.231
_cell_length_c 5.793
_cell_angle_alpha 90.00
_cell_angle_beta 90.00
_cell_angle_gamma 90.00
loop_
_atom_site_label
_atom_site_type_symbol
_atom_site_fract_x
_atom_site_fract_y
_atom_site_fract_z
Nd1 Nd 0.000 0.110 0.250
Tl1 Tl 0.165 0.500 0.000
S1 S 0.000 0.349 0.750
S2 S 0.125 0.090 0.750
```

=====

This entry pairs a crystal structure of NiPt8Rh2 with its theoretical powder XRD pattern. Radiation: Cu Kα, 1.54184 Å. Structure: a structure optimized by DFT (PBE).
Kinematic intensities with the Lorentz-polarization factor, no thermal factor.

Top 10 peaks for 10° ≤ 2θ ≤ 90°, low angle first:
2θ/deg	I/Imax	hkl
22.24	2.3	2 0 1
27.00	2.7	1 1 -1
39.81	100.0	1 1 2
46.25	32.8	0 2 0
46.42	16.2	6 0 1
67.47	10.6	4 2 -3
67.61	21.1	6 2 1
81.30	25.5	1 3 2
81.56	12.7	11 1 0
85.84	11.3	2 2 4

Cell and atoms:
```
data_NiPt8Rh2
_symmetry_space_group_name_H-M 'C 1 2/m 1'
_symmetry_Int_Tables_number 12
_cell_length_a 14.122
_cell_length_b 3.926
_cell_length_c 6.207
_cell_angle_alpha 90.00
_cell_angle_beta 105.42
_cell_angle_gamma 90.00
loop_
_symmetry_equiv_pos_as_xyz
'x,y,z'
'-x,-y,-z'
'-x,y,-z'
'x,-y,z'
'x+1/2,y+1/2,z'
'-x+1/2,-y+1/2,-z'
'-x+1/2,y+1/2,-z'
'x+1/2,-y+1/2,z'
loop_
_atom_site_label
_atom_site_type_symbol
_atom_site_fract_x
_atom_site_fract_y
_atom_site_fract_z
Ni1 Ni 0.000 0.000 0.000
Pt1 Pt 0.045 0.500 0.732
Pt2 Pt 0.092 0.000 0.448
Pt3 Pt 0.136 0.500 0.182
Pt4 Pt 0.180 0.000 0.912
Rh1 Rh 0.225 0.500 0.633
```

=====

This entry pairs a crystal structure of Pa2Au2O7 with its theoretical powder XRD pattern. Radiation: Cu Kα, 1.54184 Å. Structure: a structure optimized by DFT (PBE).
Kinematic intensities with the Lorentz-polarization factor, no thermal factor.

Top 10 peaks for 10° ≤ 2θ ≤ 90°, low angle first:
2θ/deg	I/Imax	hkl
14.04	34.6	0 0 1
22.12	100.0	1 1 1
23.37	57.9	0 2 1
26.14	26.0	2 0 0
28.60	42.1	2 0 -1
31.01	59.2	1 3 0
31.57	31.7	1 1 -2
36.34	34.6	2 2 1
41.72	26.1	2 2 -2
50.36	25.6	3 3 -1

Cell and atoms:
```
data_Pa2Au2O7
_symmetry_space_group_name_H-M 'C 1 2 1'
_symmetry_Int_Tables_number 5
_cell_length_a 6.847
_cell_length_b 9.548
_cell_length_c 6.334
_cell_angle_alpha 90.00
_cell_angle_beta 95.27
_cell_angle_gamma 90.00
loop_
_symmetry_equiv_pos_as_xyz
'x,y,z'
'-x,y,-z'
'x+1/2,y+1/2,z'
'-x+1/2,y+1/2,-z'
loop_
_atom_site_label
_atom_site_type_symbol
_atom_site_fract_x
_atom_site_fract_y
_atom_site_fract_z
Pa1 Pa 0.000 0.000 0.000
Pa2 Pa 0.000 0.357 0.000
Au1 Au 0.105 0.679 0.334
O1 O 0.000 0.527 0.500
O2 O 0.089 0.182 0.184
O3 O 0.203 0.844 0.157
O4 O 0.213 0.513 0.139
```

=====

This entry pairs a crystal structure of Cu2Ni3Pd4 with its theoretical powder XRD pattern. Radiation: Cu Kα, 1.54184 Å. Structure: a structure optimized by DFT (PBE).
Kinematic intensities with the Lorentz-polarization factor, no thermal factor.

Top 10 peaks for 10° ≤ 2θ ≤ 90°, low angle first:
2θ/deg	I/Imax	hkl
38.87	56.0	1 0 0
39.14	18.8	0 1 1
41.23	59.6	0 0 9
43.14	94.0	0 1 4
45.40	100.0	1 0 5
57.94	29.8	0 1 9
70.38	35.1	1 1 0
74.84	14.4	0 1 13
79.70	17.2	1 0 14
84.95	37.1	1 1 9

Cell and atoms:
```
data_Cu2Ni3Pd4
_symmetry_space_group_name_H-M 'P 3 m 1'
_symmetry_Int_Tables_number 156
_cell_length_a 2.6756
_cell_length_b 2.6756
_cell_length_c 19.7089
_cell_angle_alpha 90.00
_cell_angle_beta 90.00
_cell_angle_gamma 120.00
loop_
_symmetry_equiv_pos_as_xyz
'x,y,z'
'-y,x-y,z'
'-x+y,-x,z'
'-y,-x,z'
'-x+y,y,z'
'x,x-y,z'
loop_
_atom_site_label
_atom_site_type_symbol
_atom_site_fract_x
_atom_site_fract_y
_atom_site_fract_z
Cu1 Cu 0.0000 0.0000 0.0000
Cu2 Cu 0.0000 0.0000 0.2010
Ni1 Ni 0.0000 0.0000 0.7782
Ni2 Ni 0.3333 0.6667 0.1008
Ni3 Ni 0.3333 0.6667 0.4386
Pd1 Pd 0.0000 0.0000 0.3296
Pd2 Pd 0.0000 0.0000 0.5471
Pd3 Pd 0.3333 0.6667 0.6698
Pd4 Pd 0.3333 0.6667 0.8880
```